Theoretical powder diffraction line list of MoW3Se4S4 for λ = 1.5418 Å (Cu Kα), from DFT lattice parameters and positions (GGA-PBE).

The 6 most intense peaks (2θ = 5–70°), most intense first:
2θ (°)  I (rel.)  index
11.91  100.0  0 0 5
37.35  56.0  0 1 8
45.21  34.1  1 0 13
14.31  26.9  0 0 6
31.80  26.3  1 0 0
7.14  25.7  0 0 3

a = 3.2517 Å, b = 3.2517 Å, c = 37.1479 Å
α = 90.00°, β = 90.00°, γ = 120.00°
Space group P3m1 (No. 156)
Unique sites:
Mo  0.0000  0.0000  0.0000 [1 per cell]
W  0.0000  0.0000  0.3757 [1 per cell]
W  0.3333  0.6667  0.1879 [1 per cell]
W  0.3333  0.6667  0.5636 [1 per cell]
Se  0.0000  0.0000  0.5177 [1 per cell]
Se  0.0000  0.0000  0.6096 [1 per cell]
Se  0.3333  0.6667  0.0457 [1 per cell]
Se  0.3333  0.6667  0.9543 [1 per cell]
S  0.0000  0.0000  0.1461 [1 per cell]
S  0.0000  0.0000  0.2297 [1 per cell]
S  0.3333  0.6667  0.3340 [1 per cell]
S  0.3333  0.6667  0.4175 [1 per cell]

=====

Theoretical powder diffraction line list of MoW3Se6S2 for λ = 1.5418 Å (Cu Kα), from DFT lattice parameters and positions (GGA-PBE).

The 6 most intense peaks (2θ = 5–70°), most intense first:
2θ (°)  I (rel.)  index
11.83  100.0  0 0 5
36.98  65.0  1 0 8
44.79  40.9  0 1 13
31.45  34.0  1 0 0
7.09  26.1  0 0 3
55.97  22.8  1 1 0

a = 3.2866 Å, b = 3.2866 Å, c = 37.4032 Å
α = 90.00°, β = 90.00°, γ = 120.00°
Space group P3m1 (No. 156)
Unique sites:
Mo  0.0000  0.0000  0.0000 [1 per cell]
W  0.0000  0.0000  0.3758 [1 per cell]
W  0.6667  0.3333  0.1879 [1 per cell]
W  0.6667  0.3333  0.8121 [1 per cell]
Se  0.0000  0.0000  0.1425 [1 per cell]
Se  0.0000  0.0000  0.2332 [1 per cell]
Se  0.6667  0.3333  0.0451 [1 per cell]
Se  0.6667  0.3333  0.3304 [1 per cell]
Se  0.6667  0.3333  0.4211 [1 per cell]
Se  0.6667  0.3333  0.9549 [1 per cell]
S  0.0000  0.0000  0.7709 [1 per cell]
S  0.0000  0.0000  0.8533 [1 per cell]

=====

- What is the formula in the first record?
  MoW3Se4S4